Record 1
# K3BiSb
Simulated XRD peak list, Cu Kα X-rays. Input: a crystal structure in Alexandria, relaxed with PBE.
No peak broadening, texture or thermal motion is included.

Cell and atoms:
```
data_K3BiSb
_chemical_formula_sum 'K12 Bi4 Sb4'
_cell_length_a 9.4456
_cell_length_b 7.7716
_cell_length_c 11.4251
_cell_angle_alpha 90.00
_cell_angle_beta 107.65
_cell_angle_gamma 90.00
_space_group_name_H-M_alt 'P 1 21/c 1'
_space_group_IT_number 14
loop_
_space_group_symop_operation_xyz
'x,y,z'
'-x,-y,-z'
'-x,y+1/2,-z+1/2'
'x,-y+1/2,z+1/2'
loop_
_atom_site_label
_atom_site_fract_x
_atom_site_fract_y
_atom_site_fract_z
_atom_site_occupancy
K1 0.0820 0.2377 0.3958 1
K2 0.2980 0.5159 0.6895 1
K3 0.3003 0.5145 0.2106 1
Bi1 0.4934 0.7019 0.9983 1
Sb1 0.1588 0.7421 0.9144 1
```

Largest 12 diffraction maxima, sorted by position, 2θ from 5° to 70°:
- hkl 1 0 0, 9.83 deg, rel. 46
- hkl 1 1 0, 15.06 deg, rel. 23
- hkl 1 0 -2, 16.28 deg, rel. 83
- hkl 0 2 0, 22.88 deg, rel. 31
- hkl 0 2 2, 28.21 deg, rel. 100
- hkl 2 0 2, 29.32 deg, rel. 79
- hkl 3 0 0, 29.78 deg, rel. 16
- hkl 2 2 0, 30.39 deg, rel. 19
- hkl 1 0 -4, 31.32 deg, rel. 42
- hkl 3 2 0, 37.89 deg, rel. 31
- hkl 1 2 -4, 39.14 deg, rel. 16
- hkl 2 2 -6, 53.86 deg, rel. 16

=====

Record 2
# PmTmCd
Simulated XRD peak list, Cu Kα X-rays. Input: a crystal structure in Alexandria, relaxed with PBE.
No peak broadening, texture or thermal motion is included.

Cell and atoms:
```
data_PmTmCd
_chemical_formula_sum 'Pm2 Tm2 Cd2'
_cell_length_a 7.0182
_cell_length_b 5.1141
_cell_length_c 5.4259
_cell_angle_alpha 90.00
_cell_angle_beta 90.00
_cell_angle_gamma 90.00
_space_group_name_H-M_alt 'P m m a'
_space_group_IT_number 51
loop_
_space_group_symop_operation_xyz
'x,y,z'
'-x,-y,-z'
'-x+1/2,-y,z'
'x+1/2,y,-z'
'x+1/2,-y,-z'
'-x+1/2,y,z'
'-x,y,-z'
'x,-y,z'
loop_
_atom_site_label
_atom_site_fract_x
_atom_site_fract_y
_atom_site_fract_z
_atom_site_occupancy
Pm1 0.2500 0.0000 0.9996 1
Tm1 0.2500 0.5000 0.4992 1
Cd1 0.0000 0.0000 0.5000 1
```

Largest 12 diffraction maxima, sorted by position, 2θ from 5° to 70°:
- hkl 0 0 1, 16.34 deg, rel. 13
- hkl 0 1 0, 17.34 deg, rel. 6
- hkl 0 1 1, 23.91 deg, rel. 23
- hkl 2 0 0, 25.38 deg, rel. 10
- hkl 0 0 2, 33.02 deg, rel. 24
- hkl 2 1 1, 35.14 deg, rel. 100
- hkl 0 2 2, 48.95 deg, rel. 16
- hkl 4 0 0, 52.13 deg, rel. 6
- hkl 2 1 3, 60.35 deg, rel. 17
- hkl 2 3 1, 62.99 deg, rel. 15
- hkl 4 0 2, 63.10 deg, rel. 7
- hkl 4 2 0, 64.40 deg, rel. 7

=====

Record 3
# LiNd2Cu2O6
Simulated XRD peak list, Cu Kα X-rays. Input: a crystal structure in Alexandria, relaxed with PBE.
No peak broadening, texture or thermal motion is included.

Cell and atoms:
```
data_LiNd2Cu2O6
_chemical_formula_sum 'Li3 Nd6 Cu6 O18'
_cell_length_a 5.6363
_cell_length_b 5.6363
_cell_length_c 15.9403
_cell_angle_alpha 90.00
_cell_angle_beta 90.00
_cell_angle_gamma 120.00
_space_group_name_H-M_alt 'R -3 m'
_space_group_IT_number 166
_space_group_name_Hall '-R 3 2"'
loop_
_atom_site_label
_atom_site_fract_x
_atom_site_fract_y
_atom_site_fract_z
_atom_site_occupancy
Li1 0.0000 0.0000 0.0000 1
Nd1 0.0000 0.0000 0.2096 1
Cu1 0.0000 0.0000 0.4183 1
O1 0.0358 0.5179 0.7600 1
```

Largest 12 diffraction maxima, sorted by position, 2θ from 5° to 70°:
- hkl 0 0 3, 16.68 deg, rel. 47
- hkl 0 1 2, 21.35 deg, rel. 33
- hkl 1 1 0, 31.75 deg, rel. 100
- hkl 0 1 5, 33.58 deg, rel. 74
- hkl 0 0 6, 33.74 deg, rel. 10
- hkl 1 1 3, 36.08 deg, rel. 33
- hkl 2 0 2, 38.58 deg, rel. 26
- hkl 2 0 5, 46.88 deg, rel. 37
- hkl 3 0 0, 56.56 deg, rel. 19
- hkl 1 2 5, 57.74 deg, rel. 37
- hkl 1 0 10, 61.16 deg, rel. 10
- hkl 2 2 0, 66.34 deg, rel. 18

=====

Copy entry 3 word for word.
# LiNd2Cu2O6
Simulated XRD peak list, Cu Kα X-rays. Input: a crystal structure in Alexandria, relaxed with PBE.
No peak broadening, texture or thermal motion is included.

Cell and atoms:
```
data_LiNd2Cu2O6
_chemical_formula_sum 'Li3 Nd6 Cu6 O18'
_cell_length_a 5.6363
_cell_length_b 5.6363
_cell_length_c 15.9403
_cell_angle_alpha 90.00
_cell_angle_beta 90.00
_cell_angle_gamma 120.00
_space_group_name_H-M_alt 'R -3 m'
_space_group_IT_number 166
_space_group_name_Hall '-R 3 2"'
loop_
_atom_site_label
_atom_site_fract_x
_atom_site_fract_y
_atom_site_fract_z
_atom_site_occupancy
Li1 0.0000 0.0000 0.0000 1
Nd1 0.0000 0.0000 0.2096 1
Cu1 0.0000 0.0000 0.4183 1
O1 0.0358 0.5179 0.7600 1
```

Largest 12 diffraction maxima, sorted by position, 2θ from 5° to 70°:
- hkl 0 0 3, 16.68 deg, rel. 47
- hkl 0 1 2, 21.35 deg, rel. 33
- hkl 1 1 0, 31.75 deg, rel. 100
- hkl 0 1 5, 33.58 deg, rel. 74
- hkl 0 0 6, 33.74 deg, rel. 10
- hkl 1 1 3, 36.08 deg, rel. 33
- hkl 2 0 2, 38.58 deg, rel. 26
- hkl 2 0 5, 46.88 deg, rel. 37
- hkl 3 0 0, 56.56 deg, rel. 19
- hkl 1 2 5, 57.74 deg, rel. 37
- hkl 1 0 10, 61.16 deg, rel. 10
- hkl 2 2 0, 66.34 deg, rel. 18